Sc2SiAg2Pb: computed PXRD pattern (Cu Kα X-rays), based on the GGA-PBE geometry in OQMD.
Peak positions follow from Bragg's law for the DFT cell and can differ from measured ones.

Cell and atoms:
Lattice parameters (Å, degrees): 11.0837 4.5349 11.0878 90.00 109.53 90.00
Element x y z (fractional)
Sc (0.0000, 0.0000, 0.0000)
Sc (0.0994, 0.5000, 0.3683)
Sc (0.2211, 0.0000, 0.7329)
Sc (0.3749, 0.5000, 0.1355)
Sc (0.4830, 0.0000, 0.4967)
Sc (0.6122, 0.5000, 0.8586)
Sc (0.7382, 0.0000, 0.2485)
Sc (0.8514, 0.5000, 0.6127)
Si (0.2419, 0.0000, 0.2468)
Si (0.6112, 0.5000, 0.3716)
Si (0.7292, 0.0000, 0.7351)
Si (0.9782, 0.0000, 0.4903)
Ag (0.1315, 0.5000, 0.1363)
Ag (0.2174, 0.0000, 0.4764)
Ag (0.3585, 0.5000, 0.8697)
Ag (0.4927, 0.0000, 0.2610)
Ag (0.6139, 0.5000, 0.6129)
Ag (0.7405, 0.0000, 0.9755)
Ag (0.8545, 0.5000, 0.3757)
Ag (0.9653, 0.0000, 0.7291)
Pb (0.1052, 0.5000, 0.8679)
Pb (0.3541, 0.5000, 0.6141)
Pb (0.4903, 0.0000, 0.9977)
Pb (0.8640, 0.5000, 0.1171)

Main lines, most intense first (2θ = 10–80°):
39.8°, intensity 100, hkl 0 2 0; 24.1°, intensity 61, hkl 1 1 1; 47.1°, intensity 26, hkl 3 2 -1; 72.2°, intensity 16, hkl 4 3 0; 72.3°, intensity 14, hkl 8 1 -4; 57.5°, intensity 11, hkl 4 2 -4; 63.3°, intensity 7, hkl 7 0 -5; 25.6°, intensity 7, hkl 3 0 -2; 32.4°, intensity 6, hkl 0 1 3; 21.4°, intensity 6, hkl 1 1 0